Entry 1:
HoZrSc5: simulated powder diffractogram (Cu Kα X-rays), based on a PBE-relaxed structure.
Kinematic intensities with the Lorentz-polarization factor, no thermal factor.

The 6 most intense peaks (10 to 80 degrees two-theta), low angle first:
| two_theta | Rel. int. |
| --- | --- |
| 21.14 | 81 |
| 27.84 | 51 |
| 34.12 | 70 |
| 36.06 | 100 |
| 36.27 | 69 |
| 37.32 | 54 |

```
HoZrSc5
1.0
5.108 -5.820 0.000
5.108 5.820 0.000
-2.137 0.000 6.074
Ho Zr Sc
2 2 10
Cartesian
3.505 4.051 4.555
4.574 -4.051 1.518
2.554 2.910 0.000
1.485 -2.910 3.037
4.574 4.483 1.518
1.206 0.332 3.914
2.275 -0.332 0.877
3.790 1.531 2.783
5.358 1.531 0.254
2.721 -1.531 5.820
4.289 -1.531 3.291
5.804 0.332 5.197
6.873 -0.332 2.160
3.505 -4.483 4.555
```

***

Entry 2:
Ho6ZrSc: simulated powder diffractogram (Cu Kα X-rays), based on a PBE-relaxed structure.
Kinematic intensities with the Lorentz-polarization factor, no thermal factor.

The 6 most intense peaks (10 to 80 degrees two-theta), low angle first:
| two_theta | Rel. int. |
| --- | --- |
| 27.60 | 56 |
| 31.04 | 90 |
| 32.05 | 100 |
| 32.13 | 89 |
| 42.85 | 59 |
| 61.69 | 59 |

```
Ho6ZrSc
1.0
6.432 0.000 0.000
0.000 11.155 0.000
-0.005 0.000 6.463
Ho Zr Sc
12 2 2
Cartesian
0.417 0.000 1.602
1.391 3.154 1.602
1.391 8.001 1.602
1.820 2.424 4.861
1.820 8.731 4.861
2.794 5.577 4.861
3.633 5.577 1.602
4.607 2.424 1.602
4.607 8.731 1.602
5.036 3.154 4.861
5.036 8.001 4.861
6.010 0.000 4.861
0.000 5.577 0.000
3.216 0.000 0.000
-0.003 5.577 3.232
3.213 0.000 3.232
```

***

Entry 3:
Ho4ZrSc5: simulated powder diffractogram (Cu Kα X-rays), based on a PBE-relaxed structure.
Kinematic intensities with the Lorentz-polarization factor, no thermal factor.

The 6 most intense peaks (10 to 80 degrees two-theta), low angle first:
| two_theta | Rel. int. |
| --- | --- |
| 25.56 | 41 |
| 31.24 | 100 |
| 32.40 | 16 |
| 34.84 | 16 |
| 38.01 | 37 |
| 64.48 | 19 |

```
Ho4ZrSc5
1.0
-5.022 5.022 2.763
5.022 -5.022 2.763
5.022 5.022 -2.763
Ho Zr Sc
4 1 5
Cartesian
3.198 0.000 0.000
6.846 0.000 0.000
0.000 3.198 0.000
0.000 6.846 0.000
0.000 0.000 4.269
0.000 0.000 1.363
3.161 3.161 0.082
1.861 -1.861 2.845
-1.861 1.861 2.845
1.861 1.861 2.845
```

***

Entry 4:
Ho5Zr2Sc12: simulated powder diffractogram (Cu Kα X-rays), based on a PBE-relaxed structure.
Kinematic intensities with the Lorentz-polarization factor, no thermal factor.

The 6 most intense peaks (10 to 80 degrees two-theta), low angle first:
| two_theta | Rel. int. |
| --- | --- |
| 19.52 | 34 |
| 19.96 | 32 |
| 31.90 | 100 |
| 32.17 | 34 |
| 34.15 | 38 |
| 34.68 | 45 |

```
Ho5Zr2Sc12
1.0
9.089 -3.566 0.000
9.089 3.566 0.000
-4.346 0.000 7.762
Ho Zr Sc
5 2 12
Cartesian
0.000 0.000 0.000
0.496 0.000 5.379
4.222 0.000 2.368
9.610 0.000 5.394
13.337 0.000 2.383
6.916 1.304 3.881
6.916 -1.304 3.881
16.781 0.000 2.492
-2.948 0.000 5.270
6.132 1.820 0.231
3.399 1.820 5.114
10.433 1.820 2.648
7.700 1.820 7.531
8.295 0.000 1.418
5.537 0.000 6.344
6.132 -1.820 0.231
3.399 -1.820 5.114
10.433 -1.820 2.648
7.700 -1.820 7.531
```

***

Entry 5:
Ho5Se8: simulated powder diffractogram (Cu Kα X-rays), based on a PBE-relaxed structure.
Kinematic intensities with the Lorentz-polarization factor, no thermal factor.

The 6 most intense peaks (10 to 80 degrees two-theta), low angle first:
| two_theta | Rel. int. |
| --- | --- |
| 13.22 | 83 |
| 28.25 | 49 |
| 28.55 | 100 |
| 36.63 | 46 |
| 37.09 | 65 |
| 44.27 | 61 |

```
Ho5Se8
1.0
6.698 -4.118 0.000
6.698 4.118 0.000
-6.526 0.000 7.073
Ho Se
5 8
Cartesian
0.000 0.000 0.000
3.435 1.984 3.536
3.689 0.000 0.042
3.181 0.000 7.031
3.435 -1.984 3.536
-1.833 0.000 2.208
-1.595 2.221 5.881
8.465 2.221 1.191
1.790 0.000 4.649
5.080 0.000 2.424
-1.595 -2.221 5.881
8.465 -2.221 1.191
8.704 0.000 4.865
```

***

Entry 6:
Ho2Se3: simulated powder diffractogram (Cu Kα X-rays), based on a PBE-relaxed structure.
Kinematic intensities with the Lorentz-polarization factor, no thermal factor.

The 6 most intense peaks (10 to 80 degrees two-theta), low angle first:
| two_theta | Rel. int. |
| --- | --- |
| 13.73 | 48 |
| 30.91 | 100 |
| 31.09 | 50 |
| 44.42 | 91 |
| 54.93 | 21 |
| 55.25 | 19 |

```
Ho2Se3
1.0
0.000 5.752 12.225
4.108 0.000 12.225
4.108 5.752 0.000
Ho Se
8 12
Cartesian
1.027 1.438 1.005
3.081 4.314 3.124
1.027 1.438 5.108
5.135 7.191 9.237
3.081 4.314 15.214
7.189 10.067 19.343
5.135 7.191 21.327
7.189 10.067 23.445
3.014 1.404 7.189
5.199 4.314 9.169
3.147 1.404 11.149
5.201 4.280 13.302
7.253 7.191 15.282
5.068 4.280 17.262
3.147 7.225 7.189
0.963 4.314 9.169
3.014 7.225 11.149
5.068 10.101 13.302
3.017 7.191 15.282
5.201 10.101 17.262
```

***

Entry 7:
Ho2Se3: simulated powder diffractogram (Cu Kα X-rays), based on a PBE-relaxed structure.
Kinematic intensities with the Lorentz-polarization factor, no thermal factor.

The 6 most intense peaks (10 to 80 degrees two-theta), low angle first:
| two_theta | Rel. int. |
| --- | --- |
| 22.78 | 85 |
| 28.72 | 71 |
| 33.19 | 81 |
| 34.16 | 100 |
| 36.87 | 77 |
| 45.22 | 74 |

```
Ho2Se3
1.0
11.115 0.000 0.000
0.000 4.010 0.000
0.000 0.000 10.965
Ho Se
8 12
Cartesian
0.145 1.003 2.058
2.154 1.003 5.497
3.403 3.008 0.014
5.412 3.008 7.541
5.703 1.003 3.425
7.712 1.003 10.951
8.961 3.008 5.469
10.970 3.008 8.907
0.494 3.008 4.109
1.317 1.003 10.353
2.513 3.008 7.621
3.044 1.003 2.138
4.240 3.008 4.870
5.063 1.003 9.592
6.052 3.008 1.374
6.875 1.003 6.095
8.071 3.008 8.828
8.602 1.003 3.345
9.798 3.008 0.612
10.621 1.003 6.857
```

***

Entry 8:
Ho2Se5: simulated powder diffractogram (Cu Kα X-rays), based on a PBE-relaxed structure.
Kinematic intensities with the Lorentz-polarization factor, no thermal factor.

The 6 most intense peaks (10 to 80 degrees two-theta), low angle first:
| two_theta | Rel. int. |
| --- | --- |
| 29.49 | 36 |
| 31.92 | 45 |
| 33.60 | 100 |
| 37.28 | 77 |
| 39.69 | 63 |
| 45.65 | 69 |

```
Ho2Se5
1.0
1.987 -21.201 0.000
1.987 21.201 0.000
0.000 0.000 3.974
Ho Se
4 10
Cartesian
1.987 16.799 2.981
1.987 8.229 2.981
1.987 -8.229 0.994
1.987 -16.799 0.994
1.987 19.095 0.994
1.987 13.745 2.981
1.987 10.600 0.994
1.987 5.294 2.981
1.987 2.106 0.994
1.987 -2.106 2.981
1.987 -5.294 0.994
1.987 -10.600 2.981
1.987 -13.745 0.994
1.987 -19.095 2.981
```

***

Entry 9:
Ho2SiSe6: simulated powder diffractogram (Cu Kα X-rays), based on a PBE-relaxed structure.
Kinematic intensities with the Lorentz-polarization factor, no thermal factor.

The 6 most intense peaks (10 to 80 degrees two-theta), low angle first:
| two_theta | Rel. int. |
| --- | --- |
| 17.68 | 63 |
| 20.28 | 58 |
| 20.73 | 100 |
| 31.89 | 58 |
| 35.77 | 66 |
| 39.81 | 62 |

```
Ho2SiSe6
1.0
6.811 0.000 0.000
0.000 7.422 0.000
-6.521 0.000 8.575
Ho Si Se
4 2 12
Cartesian
-0.125 0.841 2.083
-3.385 2.870 6.370
3.675 4.552 2.205
0.415 6.581 6.492
3.405 0.000 0.000
0.145 3.711 4.287
-5.195 1.288 8.006
-1.935 2.423 3.719
-4.277 5.226 8.070
-1.016 5.907 3.782
-2.192 0.284 6.373
1.068 3.427 2.085
-0.778 3.995 6.489
2.482 7.138 2.202
1.307 1.515 4.792
4.567 2.196 0.505
2.225 4.999 4.856
5.485 6.134 0.569
```

***

Entry 10:
SmHoSe: simulated powder diffractogram (Cu Kα X-rays), based on a PBE-relaxed structure.
Kinematic intensities with the Lorentz-polarization factor, no thermal factor.

The 6 most intense peaks (10 to 80 degrees two-theta), low angle first:
| two_theta | Rel. int. |
| --- | --- |
| 26.63 | 90 |
| 27.13 | 57 |
| 31.71 | 100 |
| 34.82 | 65 |
| 35.92 | 57 |
| 41.22 | 61 |

```
SmHoSe
1.0
4.250 -5.432 0.000
4.250 5.432 0.000
0.000 0.000 7.547
Sm Ho Se
4 4 4
Cartesian
1.703 0.000 0.000
2.546 0.000 3.773
5.953 0.000 3.773
6.796 0.000 0.000
4.250 3.249 5.025
4.250 2.183 1.251
4.250 -2.183 6.296
4.250 -3.249 2.522
4.250 4.726 2.303
4.250 0.706 6.077
4.250 -0.706 1.470
4.250 -4.726 5.243
```

***

Entry 11:
Sm5HoSe6: simulated powder diffractogram (Cu Kα X-rays), based on a PBE-relaxed structure.
Kinematic intensities with the Lorentz-polarization factor, no thermal factor.

The 6 most intense peaks (10 to 80 degrees two-theta), low angle first:
| two_theta | Rel. int. |
| --- | --- |
| 26.28 | 18 |
| 30.44 | 100 |
| 43.53 | 37 |
| 43.64 | 37 |
| 54.04 | 20 |
| 71.96 | 17 |

```
Sm5HoSe6
1.0
3.598 -6.242 0.000
3.598 6.242 0.000
-2.406 0.000 6.767
Sm Ho Se
5 1 6
Cartesian
0.000 0.000 0.000
2.395 4.150 3.383
3.598 2.140 0.000
3.598 -2.140 0.000
2.395 -4.150 3.383
2.395 0.000 3.383
1.223 2.033 1.725
0.045 0.000 5.066
1.223 -2.033 1.725
3.567 2.033 5.042
4.745 0.000 1.701
3.567 -2.033 5.042
```

***

Entry 12:
Sm4HoSe7: simulated powder diffractogram (Cu Kα X-rays), based on a PBE-relaxed structure.
Kinematic intensities with the Lorentz-polarization factor, no thermal factor.

The 6 most intense peaks (10 to 80 degrees two-theta), low angle first:
| two_theta | Rel. int. |
| --- | --- |
| 22.49 | 84 |
| 22.98 | 98 |
| 29.69 | 75 |
| 31.21 | 100 |
| 32.26 | 71 |
| 44.87 | 59 |

```
Sm4HoSe7
1.0
6.811 -2.020 0.000
6.811 2.020 0.000
-3.145 0.000 11.948
Sm Ho Se
4 1 7
Cartesian
0.000 0.000 0.000
0.152 0.000 9.159
6.787 0.000 4.605
10.280 0.000 6.859
10.071 0.000 1.832
1.362 0.000 2.675
1.433 0.000 6.274
4.989 0.000 0.936
5.495 0.000 7.484
5.662 0.000 11.122
9.066 0.000 9.457
11.490 0.000 4.255
```